(1)
Rb2Lu4Cu4Te9: simulated PXRD pattern (Cu Kα), based on a DFT-relaxed cell (PBE, OQMD).
Intensities are scaled so that the largest is 100.

Principal peaks in the range 2θ from 10° to 90°, low angle first:
2θ = 12.21°, I 73.1
2θ = 25.74°, I 40.3
2θ = 26.98°, I 72.6
2θ = 27.43°, I 91.6
2θ = 27.62°, I 50.8
2θ = 28.91°, I 47.3
2θ = 29.27°, I 75.4
2θ = 31.80°, I 43.4
2θ = 39.35°, I 38.5
2θ = 41.62°, I 100.0

Lattice parameters (Å, degrees): 7.947 7.947 17.491 107.79 107.79 31.70
Atoms (fractional coordinates):
Rb  0.036  0.036  0.273
Rb  0.964  0.964  0.727
Lu  0.227  0.227  0.100
Lu  0.346  0.346  0.442
Lu  0.654  0.654  0.558
Lu  0.773  0.773  0.900
Cu  0.245  0.245  0.734
Cu  0.423  0.423  0.025
Cu  0.577  0.577  0.975
Cu  0.755  0.755  0.266
Te  0.000  0.000  0.500
Te  0.137  0.137  0.921
Te  0.298  0.298  0.601
Te  0.352  0.352  0.273
Te  0.397  0.397  0.870
Te  0.603  0.603  0.130
Te  0.648  0.648  0.727
Te  0.702  0.702  0.399
Te  0.863  0.863  0.079


(2)
ZrSc2Si4Pd4: simulated PXRD pattern (Cu Kα), based on a DFT-relaxed cell (PBE, OQMD).
Intensities are scaled so that the largest is 100.

Principal peaks in the range 2θ from 10° to 90°, low angle first:
2θ = 13.43°, I 40.3
2θ = 30.38°, I 74.8
2θ = 35.44°, I 100.0
2θ = 37.89°, I 48.0
2θ = 40.53°, I 47.8
2θ = 41.08°, I 51.6
2θ = 44.95°, I 45.5
2θ = 45.83°, I 44.7
2θ = 49.40°, I 34.3
2θ = 66.14°, I 27.7

Lattice parameters (Å, degrees): 7.681 7.681 7.681 150.12 127.39 61.69
Atoms (fractional coordinates):
Zr  0.000  0.000  0.000
Sc  0.379  0.879  0.500
Sc  0.621  0.121  0.500
Si  0.218  0.218  0.000
Si  0.313  0.500  0.813
Si  0.687  0.500  0.187
Si  0.782  0.782  0.000
Pd  0.029  0.326  0.703
Pd  0.377  0.674  0.703
Pd  0.623  0.326  0.297
Pd  0.971  0.674  0.297


(3)
CdO: simulated PXRD pattern (Cu Kα), based on a DFT-relaxed cell (PBE, OQMD).
Intensities are scaled so that the largest is 100.

Principal peaks in the range 2θ from 10° to 90°, low angle first:
2θ = 27.44°, I 32.0
2θ = 29.51°, I 23.4
2θ = 31.89°, I 100.0
2θ = 32.20°, I 44.2
2θ = 33.71°, I 35.1
2θ = 42.80°, I 15.8
2θ = 47.19°, I 16.8
2θ = 51.09°, I 25.3
2θ = 57.21°, I 24.7
2θ = 61.69°, I 24.0

Lattice parameters (Å, degrees): 3.852 6.054 5.561 90.00 90.00 90.00
Atoms (fractional coordinates):
Cd  0.000  0.176  0.000
Cd  0.000  0.824  0.500
Cd  0.500  0.324  0.500
Cd  0.500  0.676  0.000
O  0.000  0.177  0.403
O  0.000  0.823  0.903
O  0.500  0.323  0.903
O  0.500  0.677  0.403


(4)
CsZr3N5: simulated PXRD pattern (Cu Kα), based on a DFT-relaxed cell (PBE, OQMD).
Intensities are scaled so that the largest is 100.

Principal peaks in the range 2θ from 10° to 90°, low angle first:
2θ = 13.79°, I 39.5
2θ = 22.79°, I 100.0
2θ = 27.79°, I 30.3
2θ = 34.56°, I 28.3
2θ = 36.56°, I 49.1
2θ = 39.25°, I 12.7
2θ = 46.27°, I 12.1
2θ = 46.54°, I 61.0
2θ = 51.19°, I 22.0
2θ = 70.02°, I 14.9

Lattice parameters (Å, degrees): 5.675 5.675 6.420 90.00 90.00 120.00
Atoms (fractional coordinates):
Cs  0.000  0.000  0.000
Zr  0.000  0.500  0.500
Zr  0.500  0.000  0.500
Zr  0.500  0.500  0.500
N  0.000  0.000  0.500
N  0.333  0.667  0.287
N  0.333  0.667  0.713
N  0.667  0.333  0.287
N  0.667  0.333  0.713


(5)
K2SmF5: simulated PXRD pattern (Cu Kα), based on a DFT-relaxed cell (PBE, OQMD).
Intensities are scaled so that the largest is 100.

Principal peaks in the range 2θ from 10° to 90°, low angle first:
2θ = 16.37°, I 100.0
2θ = 17.23°, I 52.2
2θ = 28.03°, I 27.9
2θ = 29.37°, I 95.6
2θ = 29.57°, I 68.4
2θ = 29.87°, I 54.9
2θ = 41.42°, I 46.6
2θ = 42.89°, I 36.4
2θ = 47.99°, I 30.6
2θ = 52.95°, I 37.9

Lattice parameters (Å, degrees): 10.295 6.368 7.352 90.00 90.00 90.00
Atoms (fractional coordinates):
K  0.169  0.043  0.000
K  0.171  0.040  0.509
K  0.329  0.540  0.009
K  0.331  0.543  0.500
K  0.669  0.457  0.000
K  0.671  0.460  0.509
K  0.829  0.960  0.009
K  0.831  0.957  0.500
Sm  0.007  0.566  0.755
Sm  0.493  0.066  0.255
Sm  0.507  0.934  0.755
Sm  0.993  0.434  0.255
F  0.009  0.918  0.756
F  0.078  0.660  0.468
F  0.081  0.657  0.041
F  0.180  0.357  0.751
F  0.206  0.330  0.257
F  0.294  0.830  0.757
F  0.320  0.857  0.251
F  0.419  0.157  0.541
F  0.422  0.160  0.968
F  0.491  0.418  0.256
F  0.509  0.582  0.756
F  0.578  0.840  0.468
F  0.581  0.843  0.041
F  0.680  0.143  0.751
F  0.706  0.170  0.257
F  0.794  0.670  0.757
F  0.820  0.643  0.251
F  0.919  0.343  0.541
F  0.922  0.340  0.968
F  0.991  0.082  0.256


(6)
ErBH8SO10: simulated PXRD pattern (Cu Kα), based on a DFT-relaxed cell (PBE, OQMD).
Intensities are scaled so that the largest is 100.

Principal peaks in the range 2θ from 10° to 90°, low angle first:
2θ = 14.96°, I 72.3
2θ = 15.63°, I 88.1
2θ = 17.76°, I 58.7
2θ = 19.01°, I 100.0
2θ = 20.84°, I 38.5
2θ = 21.73°, I 41.1
2θ = 23.04°, I 34.9
2θ = 26.94°, I 80.4
2θ = 29.44°, I 33.8
2θ = 36.82°, I 32.6

Lattice parameters (Å, degrees): 5.825 6.728 9.746 79.70 76.84 88.82
Atoms (fractional coordinates):
Er  0.084  0.316  0.277
Er  0.916  0.684  0.723
B  0.415  0.671  0.730
B  0.585  0.329  0.270
H  0.186  0.796  0.120
H  0.220  0.743  0.918
H  0.237  0.418  0.957
H  0.270  0.008  0.022
H  0.413  0.728  0.514
H  0.432  0.266  0.007
H  0.473  0.616  0.291
H  0.497  0.022  0.301
H  0.503  0.978  0.699
H  0.527  0.384  0.709
H  0.568  0.734  0.993
H  0.587  0.272  0.486
H  0.730  0.992  0.978
H  0.763  0.582  0.043
H  0.780  0.257  0.082
H  0.814  0.204  0.880
S  0.129  0.205  0.655
S  0.871  0.795  0.345
O  0.016  0.346  0.751
O  0.023  0.004  0.721
O  0.083  0.270  0.512
O  0.207  0.642  0.855
O  0.263  0.301  0.033
O  0.295  0.861  0.030
O  0.305  0.686  0.608
O  0.388  0.202  0.648
O  0.422  0.498  0.257
O  0.434  0.157  0.273
O  0.566  0.843  0.727
O  0.578  0.502  0.743
O  0.612  0.798  0.352
O  0.695  0.314  0.392
O  0.705  0.139  0.970
O  0.737  0.699  0.967
O  0.793  0.358  0.145
O  0.917  0.730  0.488
O  0.977  0.996  0.279
O  0.984  0.654  0.249


(7)
DyHoO4: simulated PXRD pattern (Cu Kα), based on a DFT-relaxed cell (PBE, OQMD).
Intensities are scaled so that the largest is 100.

Principal peaks in the range 2θ from 10° to 90°, low angle first:
2θ = 26.44°, I 30.6
2θ = 27.61°, I 20.0
2θ = 29.30°, I 46.7
2θ = 30.63°, I 100.0
2θ = 31.70°, I 32.9
2θ = 32.02°, I 36.6
2θ = 41.79°, I 20.0
2θ = 47.39°, I 32.1
2θ = 49.53°, I 18.7
2θ = 51.88°, I 27.4

Lattice parameters (Å, degrees): 6.783 3.681 6.134 90.00 96.25 90.00
Atoms (fractional coordinates):
Dy  0.000  0.000  0.000
Dy  0.500  0.500  0.000
Ho  0.364  0.000  0.457
Ho  0.864  0.500  0.457
O  0.035  0.000  0.375
O  0.089  0.500  0.781
O  0.275  0.500  0.675
O  0.329  0.000  0.084
O  0.535  0.500  0.375
O  0.589  0.000  0.781
O  0.775  0.000  0.675
O  0.829  0.500  0.084


(8)
Tb2InGa5: simulated PXRD pattern (Cu Kα), based on a DFT-relaxed cell (PBE, OQMD).
Intensities are scaled so that the largest is 100.

Principal peaks in the range 2θ from 10° to 90°, low angle first:
2θ = 25.03°, I 27.5
2θ = 32.37°, I 22.2
2θ = 32.55°, I 14.6
2θ = 37.84°, I 100.0
2θ = 37.99°, I 43.9
2θ = 38.68°, I 31.8
2θ = 57.97°, I 15.9
2θ = 69.45°, I 16.3
2θ = 71.56°, I 15.4
2θ = 71.88°, I 16.6

Lattice parameters (Å, degrees): 4.656 6.398 11.003 90.00 90.00 90.00
Atoms (fractional coordinates):
Tb  0.000  0.000  0.000
Tb  0.000  0.500  0.500
Tb  0.500  0.000  0.326
Tb  0.500  0.500  0.826
In  0.500  0.000  0.812
In  0.500  0.500  0.312
Ga  0.000  0.000  0.513
Ga  0.000  0.228  0.732
Ga  0.000  0.272  0.232
Ga  0.000  0.500  0.013
Ga  0.000  0.728  0.232
Ga  0.000  0.772  0.732
Ga  0.500  0.224  0.581
Ga  0.500  0.276  0.081
Ga  0.500  0.724  0.081
Ga  0.500  0.776  0.581


(9)
Mg2Sc2Cd2HgAu: simulated PXRD pattern (Cu Kα), based on a DFT-relaxed cell (PBE, OQMD).
Intensities are scaled so that the largest is 100.

Principal peaks in the range 2θ from 10° to 90°, low angle first:
2θ = 22.41°, I 17.1
2θ = 25.88°, I 50.0
2θ = 26.02°, I 24.8
2θ = 36.93°, I 50.5
2θ = 37.03°, I 100.0
2θ = 45.73°, I 22.6
2θ = 53.22°, I 17.3
2θ = 60.14°, I 20.1
2θ = 66.61°, I 34.7
2θ = 66.81°, I 17.1

Lattice parameters (Å, degrees): 4.868 4.868 6.848 90.00 90.00 90.00
Atoms (fractional coordinates):
Mg  0.000  0.500  0.244
Mg  0.500  0.000  0.756
Sc  0.000  0.500  0.758
Sc  0.500  0.000  0.242
Cd  0.000  0.000  0.000
Cd  0.500  0.500  0.500
Hg  0.000  0.000  0.500
Au  0.500  0.500  0.000


(10)
Sr2LiH6Ir: simulated PXRD pattern (Cu Kα), based on a DFT-relaxed cell (PBE, OQMD).
Intensities are scaled so that the largest is 100.

Principal peaks in the range 2θ from 10° to 90°, low angle first:
2θ = 20.01°, I 57.4
2θ = 32.97°, I 100.0
2θ = 38.87°, I 31.9
2θ = 47.32°, I 19.1
2θ = 51.87°, I 13.9
2θ = 58.88°, I 38.2
2θ = 62.84°, I 10.7
2θ = 69.16°, I 12.2
2θ = 72.82°, I 10.4
2θ = 78.77°, I 16.7

Lattice parameters (Å, degrees): 5.432 5.431 9.414 90.00 125.24 90.00
Atoms (fractional coordinates):
Sr  0.250  0.000  0.250
Sr  0.250  0.500  0.750
Sr  0.750  0.000  0.750
Sr  0.750  0.500  0.250
Li  0.000  0.000  0.500
Li  0.000  0.500  0.000
H  0.268  0.001  0.769
H  0.268  0.499  0.269
H  0.269  0.230  0.001
H  0.269  0.270  0.501
H  0.271  0.732  0.500
H  0.271  0.768  0.000
H  0.729  0.232  0.000
H  0.729  0.268  0.500
H  0.731  0.730  0.499
H  0.731  0.770  0.999
H  0.732  0.501  0.731
H  0.732  0.999  0.231
Ir  0.500  0.000  0.000
Ir  0.500  0.500  0.500


(11)
Sm5Zr3Ni16As12: simulated PXRD pattern (Cu Kα), based on a DFT-relaxed cell (PBE, OQMD).
Intensities are scaled so that the largest is 100.

Principal peaks in the range 2θ from 10° to 90°, low angle first:
2θ = 33.13°, I 28.4
2θ = 36.06°, I 100.0
2θ = 36.99°, I 62.1
2θ = 37.13°, I 25.9
2θ = 45.51°, I 14.8
2θ = 45.81°, I 39.9
2θ = 49.27°, I 29.8
2θ = 55.45°, I 19.5
2θ = 69.54°, I 20.7
2θ = 73.92°, I 15.4

Lattice parameters (Å, degrees): 12.814 12.814 3.962 90.00 90.00 120.00
Atoms (fractional coordinates):
Sm  0.000  0.186  0.000
Sm  0.186  0.000  0.000
Sm  0.333  0.667  0.500
Sm  0.667  0.333  0.500
Sm  0.814  0.814  0.000
Zr  0.000  0.567  0.500
Zr  0.433  0.433  0.500
Zr  0.567  0.000  0.500
Ni  0.000  0.000  0.500
Ni  0.000  0.724  0.000
Ni  0.120  0.484  0.000
Ni  0.185  0.807  0.500
Ni  0.193  0.378  0.500
Ni  0.276  0.276  0.000
Ni  0.364  0.880  0.000
Ni  0.378  0.193  0.500
Ni  0.484  0.120  0.000
Ni  0.516  0.636  0.000
Ni  0.622  0.815  0.500
Ni  0.636  0.516  0.000
Ni  0.724  0.000  0.000
Ni  0.807  0.185  0.500
Ni  0.815  0.622  0.500
Ni  0.880  0.364  0.000
As  0.000  0.360  0.500
As  0.000  0.820  0.500
As  0.172  0.695  0.000
As  0.180  0.180  0.500
As  0.305  0.477  0.000
As  0.360  0.000  0.500
As  0.477  0.305  0.000
As  0.523  0.828  0.000
As  0.640  0.640  0.500
As  0.695  0.172  0.000
As  0.820  0.000  0.500
As  0.828  0.523  0.000